[1]
For PrTlTeSe, a GGA-PBE-relaxed structure gives the computed X-ray powder pattern in this record (Cu Kα (λ = 1.5418 Å)).
Neutral-atom scattering factors, no anomalous dispersion.

Main lines, low angle first (2θ from 10° to 90°):
24.1°, rel. 8.9; 27.4°, rel. 100.0; 38.0°, rel. 38.0; 40.3°, rel. 37.0; 45.5°, rel. 6.4; 49.4°, rel. 19.9; 56.6°, rel. 12.0; 62.4°, rel. 15.1; 65.6°, rel. 17.0; 71.7°, rel. 11.8

Structure:
```
data_PrTlTeSe
_chemical_formula_sum 'Pr1 Tl1 Te1 Se1'
_cell_length_a 8.3857
_cell_length_b 8.3857
_cell_length_c 8.3857
_cell_angle_alpha 30.97
_cell_angle_beta 30.97
_cell_angle_gamma 30.97
_symmetry_space_group_name_H-M 'P 1'
_symmetry_Int_Tables_number 1
loop_
_symmetry_equiv_pos_as_xyz
'x,y,z'
loop_
_atom_site_label
_atom_site_fract_x
_atom_site_fract_y
_atom_site_fract_z
Pr1 0.0000 0.0000 0.0000
Tl1 0.4928 0.4928 0.4928
Te1 0.2527 0.2527 0.2527
Se1 0.7301 0.7301 0.7301
```


[2]
For Rb2SeBr5, a GGA-PBE-relaxed structure gives the computed X-ray powder pattern in this record (Cu Kα (λ = 1.5418 Å)).
Neutral-atom scattering factors, no anomalous dispersion.

Main lines, low angle first (2θ from 10° to 90°):
14.2°, rel. 31.3; 23.7°, rel. 20.5; 28.7°, rel. 100.0; 32.2°, rel. 57.6; 35.3°, rel. 22.8; 46.2°, rel. 20.0; 48.5°, rel. 34.4; 55.3°, rel. 27.4; 59.4°, rel. 28.0; 78.4°, rel. 15.4

Structure:
```
data_Rb2SeBr5
_chemical_formula_sum 'Rb2 Se1 Br5'
_cell_length_a 7.5331
_cell_length_b 7.5331
_cell_length_c 7.5331
_cell_angle_alpha 117.09
_cell_angle_beta 117.09
_cell_angle_gamma 95.12
_symmetry_space_group_name_H-M 'P 1'
_symmetry_Int_Tables_number 1
loop_
_symmetry_equiv_pos_as_xyz
'x,y,z'
loop_
_atom_site_label
_atom_site_fract_x
_atom_site_fract_y
_atom_site_fract_z
Rb1 0.0000 0.5000 0.5000
Rb2 0.5000 0.0000 0.5000
Se1 0.2543 0.2543 0.0000
Br1 0.0104 0.0104 0.5324
Br2 0.0104 0.4780 0.0000
Br3 0.4780 0.0104 0.0000
Br4 0.4780 0.4780 0.4676
Br5 0.5353 0.5353 0.0000
```